No. 1
Starting from a PBE+U-relaxed structure, the powder X-ray diffraction pattern of Li3Co2SnO6 was computed for Cu Kα (weighted mean of Kα1 and Kα2).

Atomic structure:
```
Li3Co2SnO6
1.0
6.5295 -1.5332 0.0000
6.5295 1.5332 0.0000
-1.4392 0.0000 5.8882
Li Co Sn O
3 2 1 6
Direct
0.0000 0.0000 0.0000
0.3256 0.3256 0.6688
0.6744 0.6744 0.3312
0.3246 0.3246 0.1508
0.6754 0.6754 0.8492
0.0000 0.0000 0.5000
0.1624 0.1624 0.5997
0.1692 0.1692 0.0770
0.4976 0.4976 0.2586
0.5024 0.5024 0.7414
0.8308 0.8308 0.9230
0.8376 0.8376 0.4003
```

Main lines, most intense first (10 to 90 degrees two-theta):
- 2θ = 18.0°, I 100
- 2θ = 41.9°, I 50
- 2θ = 34.5°, I 34
- 2θ = 42.8°, I 22
- 2θ = 46.2°, I 20
- 2θ = 35.2°, I 16
- 2θ = 36.2°, I 15
- 2θ = 61.3°, I 14

No. 2
Starting from a PBE+U-relaxed structure, the powder X-ray diffraction pattern of Li3Co4SnO8 was computed for Cu Kα (weighted mean of Kα1 and Kα2).

Atomic structure:
```
Li3Co4SnO8
1.0
6.0222 0.0000 0.0000
2.9771 5.2933 0.0000
2.8318 1.8058 9.8964
Li Co Sn O
6 8 2 16
Direct
0.0000 0.0000 0.0000
0.2428 0.2389 0.7595
0.2518 0.7540 0.7504
0.5000 0.5000 0.5000
0.7482 0.2460 0.2496
0.7572 0.7611 0.2405
0.0000 0.0000 0.5000
0.0000 0.5000 0.0000
0.2490 0.2481 0.2495
0.2492 0.7484 0.2533
0.5000 0.0000 0.5000
0.5000 0.5000 0.0000
0.7508 0.2516 0.7467
0.7510 0.7519 0.7505
0.0000 0.5000 0.5000
0.5000 0.0000 0.0000
0.1097 0.6570 0.6127
0.1207 0.6073 0.1158
0.1258 0.1427 0.6270
0.1321 0.1222 0.1194
0.3348 0.8934 0.3857
0.3614 0.3802 0.3772
0.3773 0.3655 0.8758
0.3900 0.8684 0.8776
0.6100 0.1316 0.1224
0.6227 0.6345 0.1242
0.6386 0.6198 0.6228
0.6652 0.1066 0.6143
0.8679 0.8778 0.8806
0.8742 0.8573 0.3730
0.8793 0.3927 0.8842
0.8903 0.3430 0.3873
```

Main lines, most intense first (10 to 90 degrees two-theta):
- 2θ = 18.0°, I 100
- 2θ = 41.8°, I 34
- 2θ = 42.0°, I 34
- 2θ = 42.6°, I 33
- 2θ = 36.3°, I 26
- 2θ = 60.9°, I 20
- 2θ = 34.7°, I 17
- 2θ = 34.5°, I 14